Entry 1:
This entry pairs a crystal structure of Tb3Zn6Au5 with its simulated powder diffraction line list. Radiation: copper Kα. Structure: a PBE-relaxed structure.
Lines closer than 0.1° are merged.

Cell: 4.3775 9.6495 12.7609 Å, 90.00 90.00 90.00°
Space group Immm (No. 71)
Unique sites:
1 Tb 0.0000 0.0000 0.0000 [2 per cell]
2 Tb 0.0000 0.0000 0.2903 [4 per cell]
3 Zn 0.0000 0.1701 0.5000 [4 per cell]
4 Zn 0.0000 0.2893 0.1374 [8 per cell]
5 Au 0.0000 0.3558 0.3474 [8 per cell]
6 Au 0.0000 0.5000 0.0000 [2 per cell]

Main lines, in order of rising 2θ (2θ from 10° to 90°):
2θ = 29.3°, rel. 100
2θ = 33.7°, rel. 54
2θ = 34.6°, rel. 79
2θ = 34.8°, rel. 66
2θ = 35.0°, rel. 51
2θ = 36.1°, rel. 53
2θ = 37.4°, rel. 63
2θ = 41.2°, rel. 80
2θ = 42.5°, rel. 35
2θ = 43.4°, rel. 55
2θ = 45.1°, rel. 40
2θ = 67.9°, rel. 57

=====

Entry 2:
This entry pairs a crystal structure of Al12W with its simulated powder diffraction line list. Radiation: copper Kα. Structure: a PBE-relaxed structure.
Lines closer than 0.1° are merged.

Cell: 7.5909 7.5909 7.5909 Å, 90.00 90.00 90.00°
Space group Im-3 (No. 204)
Unique sites:
1 Al 0.0000 0.3073 0.1872 [24 per cell]
2 W 0.0000 0.0000 0.0000 [2 per cell]

Main lines, in order of rising 2θ (2θ from 10° to 90°):
2θ = 16.5°, rel. 100
2θ = 23.4°, rel. 13
2θ = 28.8°, rel. 49
2θ = 37.5°, rel. 61
2θ = 41.2°, rel. 30
2θ = 44.7°, rel. 66
2θ = 47.9°, rel. 11
2θ = 51.0°, rel. 13
2θ = 59.7°, rel. 13
2θ = 62.4°, rel. 24
2θ = 72.6°, rel. 16
2θ = 77.5°, rel. 25

=====

Entry 3:
This entry pairs a crystal structure of CeSmDy5 with its simulated powder diffraction line list. Radiation: copper Kα. Structure: a PBE-relaxed structure.
Lines closer than 0.1° are merged.

Cell: 11.1592 6.4960 12.7319 Å, 90.00 96.14 90.00°
Space group C2/c (No. 15)
Unique sites:
1 Ce 0.0000 0.0000 0.0000 [4 per cell]
2 Sm 0.0000 0.2706 0.2500 [4 per cell]
3 Dy 0.0000 0.2446 0.7500 [4 per cell]
4 Dy 0.1661 0.4875 0.5604 [8 per cell]
5 Dy 0.2357 0.0147 0.1763 [8 per cell]

Main lines, in order of rising 2θ (2θ from 10° to 90°):
2θ = 27.5°, rel. 29
2θ = 27.8°, rel. 33
2θ = 31.0°, rel. 100
2θ = 31.7°, rel. 40
2θ = 31.9°, rel. 71
2θ = 32.3°, rel. 34
2θ = 32.4°, rel. 80
2θ = 33.3°, rel. 76
2θ = 33.9°, rel. 43
2θ = 34.3°, rel. 83
2θ = 51.7°, rel. 31
2θ = 57.9°, rel. 30

=====

Entry 4:
This entry pairs a crystal structure of LiCaB12 with its simulated powder diffraction line list. Radiation: copper Kα. Structure: a PBE-relaxed structure.
Lines closer than 0.1° are merged.

Cell: 4.1438 4.1438 8.2807 Å, 90.00 90.00 90.00°
Space group P4/mmm (No. 123)
Unique sites:
1 Li 0.0000 0.0000 0.0000 [1 per cell]
2 Ca 0.0000 0.0000 0.5000 [1 per cell]
3 B 0.1992 0.5000 0.2500 [8 per cell]
4 B 0.5000 0.5000 0.0996 [2 per cell]
5 B 0.5000 0.5000 0.4004 [2 per cell]

Main lines, in order of rising 2θ (2θ from 10° to 90°):
2θ = 10.7°, rel. 82
2θ = 24.0°, rel. 49
2θ = 30.5°, rel. 100
2θ = 32.4°, rel. 27
2θ = 37.6°, rel. 60
2θ = 39.2°, rel. 12
2θ = 43.7°, rel. 33
2θ = 45.1°, rel. 16
2θ = 49.2°, rel. 34
2θ = 50.5°, rel. 11
2θ = 67.9°, rel. 48
2θ = 72.1°, rel. 31